The following is a simulated powder XRD pattern of P4SO7. It was derived from a crystal structure in the Materials Project, relaxed with GGA-PBE, using Cu Kα, 1.54184 Å.
Neutral-atom scattering factors, no anomalous dispersion.

Structural model:
```
P4SO7
1.0
7.184 0.000 0.000
-0.694 7.387 0.000
-2.048 -0.707 8.195
P S O
8 2 14
Direct
0.108 0.268 0.276
0.208 0.018 0.850
0.240 0.755 0.600
0.267 0.649 0.932
0.733 0.351 0.068
0.760 0.245 0.400
0.792 0.982 0.150
0.892 0.732 0.724
0.337 0.722 0.414
0.663 0.278 0.586
0.009 0.713 0.575
0.018 0.051 0.202
0.029 0.622 0.863
0.257 0.210 0.911
0.279 0.964 0.688
0.299 0.878 0.975
0.328 0.641 0.752
0.672 0.359 0.248
0.701 0.122 0.025
0.721 0.036 0.312
0.743 0.790 0.089
0.971 0.378 0.137
0.982 0.949 0.798
0.991 0.287 0.425
```

Most intense lines, 15° ≤ 2θ ≤ 90°, in order of rising 2θ:
| 2θ/deg | I (rel.) |
| --- | --- |
| 15.48 | 100 |
| 16.57 | 48 |
| 18.55 | 74 |
| 18.72 | 43 |
| 20.97 | 69 |
| 22.29 | 53 |


The following is a simulated powder XRD pattern of Sb2PS2O13. It was derived from a crystal structure in the Materials Project, relaxed with GGA-PBE, using Cu Kα, 1.54184 Å.
Neutral-atom scattering factors, no anomalous dispersion.

Structural model:
```
Sb2PS2O13
1.0
5.202 0.000 0.000
0.475 8.285 0.000
0.478 1.585 12.900
Sb P S O
4 2 4 26
Direct
0.203 0.293 0.176
0.215 0.258 0.542
0.785 0.742 0.458
0.797 0.707 0.824
0.270 0.969 0.360
0.730 0.031 0.640
0.251 0.707 0.971
0.294 0.603 0.658
0.706 0.397 0.342
0.749 0.293 0.029
0.032 0.820 0.917
0.032 0.867 0.358
0.138 0.722 0.718
0.188 0.441 0.680
0.229 0.715 0.082
0.243 0.547 0.936
0.250 0.068 0.452
0.282 0.170 0.856
0.282 0.666 0.545
0.292 0.075 0.253
0.430 0.397 0.313
0.483 0.144 0.638
0.500 0.213 0.070
0.500 0.787 0.930
0.517 0.856 0.362
0.570 0.603 0.687
0.708 0.925 0.747
0.718 0.334 0.455
0.718 0.830 0.144
0.750 0.932 0.548
0.757 0.453 0.064
0.771 0.285 0.918
0.812 0.559 0.320
0.862 0.278 0.282
0.968 0.133 0.642
0.968 0.180 0.083
```

Most intense lines, 15° ≤ 2θ ≤ 90°, in order of rising 2θ:
| 2θ/deg | I (rel.) |
| --- | --- |
| 16.40 | 56 |
| 18.49 | 54 |
| 21.62 | 99 |
| 27.33 | 77 |
| 30.02 | 100 |
| 31.84 | 47 |


The following is a simulated powder XRD pattern of Sn2P2SO12. It was derived from a crystal structure in the Materials Project, relaxed with GGA-PBE, using Cu Kα, 1.54184 Å.
Neutral-atom scattering factors, no anomalous dispersion.

Structural model:
```
Sn2P2SO12
1.0
7.598 -4.372 0.000
7.598 4.372 0.000
-5.027 0.000 7.551
Sn P S O
4 4 2 24
Direct
0.044 0.543 0.875
0.242 0.758 0.500
0.543 0.044 0.375
0.758 0.242 0.000
0.147 0.358 0.188
0.358 0.147 0.688
0.856 0.937 0.187
0.937 0.856 0.687
0.440 0.646 0.188
0.646 0.440 0.688
0.028 0.914 0.351
0.113 0.830 0.666
0.128 0.383 0.021
0.170 0.528 0.354
0.183 0.320 0.712
0.276 0.629 0.029
0.320 0.183 0.212
0.334 0.973 0.663
0.383 0.128 0.521
0.416 0.666 0.348
0.463 0.812 0.208
0.482 0.607 0.665
0.528 0.170 0.854
0.607 0.482 0.165
0.629 0.276 0.529
0.666 0.416 0.848
0.682 0.965 0.213
0.766 0.883 0.521
0.812 0.463 0.708
0.830 0.113 0.166
0.883 0.766 0.021
0.914 0.028 0.851
0.965 0.682 0.713
0.973 0.334 0.163
```

Most intense lines, 15° ≤ 2θ ≤ 90°, in order of rising 2θ:
| 2θ/deg | I (rel.) |
| --- | --- |
| 19.56 | 100 |
| 20.28 | 74 |
| 23.48 | 55 |
| 28.37 | 42 |
| 31.32 | 39 |
| 35.50 | 32 |